Entry 1:
The following is a theoretical XRD peak list of Sn3SbS6. It was derived from a structure optimized by DFT (GGA-PBE), using CuKα.
Intensities are scaled so that the largest is 100.

The 10 most intense peaks (15° ≤ 2θ ≤ 90°), in order of falling intensity:
(hkl), 2θ/deg, d/Å, Rel. int.
0 2 0, 48.2, 1.889, 100
2 1 1, 30.7, 2.909, 95
2 1 2, 34.2, 2.618, 72
1 1 2, 30.0, 2.976, 61
0 1 6, 50.8, 1.797, 47
0 1 4, 37.8, 2.380, 46
1 1 1, 26.6, 3.352, 43
1 0 -3, 21.1, 4.202, 43
1 0 2, 18.4, 4.832, 43
2 0 -5, 36.1, 2.491, 42

Structure:
Unit cell a=11.2888 b=3.7787 c=12.6933 alpha=90.00 beta=105.08 gamma=90.00
Space group P2_1/m (No. 11)
Inequivalent atoms, fractional coordinates:
Sn1 0.0488 0.2500 0.3554 [2 per cell]
Sn2 0.3510 0.7500 0.4496 [2 per cell]
Sn3 0.4279 0.2500 0.8700 [2 per cell]
Sb1 0.1620 0.7500 0.9646 [2 per cell]
S1 0.0162 0.2500 0.8760 [2 per cell]
S2 0.1447 0.7500 0.4998 [2 per cell]
S3 0.2549 0.7500 0.8008 [2 per cell]
S4 0.2717 0.2500 0.3106 [2 per cell]
S5 0.3904 0.2500 0.0631 [2 per cell]
S6 0.4377 0.2500 0.5956 [2 per cell]

=====

Entry 2:
The following is a theoretical XRD peak list of SnSb4S7. It was derived from a structure optimized by DFT (GGA-PBE), using CuKα.
Intensities are scaled so that the largest is 100.

The 10 most intense peaks (15° ≤ 2θ ≤ 90°), in order of falling intensity:
(hkl), 2θ/deg, d/Å, Rel. int.
2 1 -3, 31.5, 2.844, 100
3 0 0, 24.6, 3.619, 74
2 1 -2, 29.1, 3.068, 65
1 0 -4, 23.8, 3.737, 58
2 1 2, 32.4, 2.765, 55
0 2 0, 46.6, 1.949, 54
2 1 1, 29.7, 3.008, 52
3 1 -1, 33.2, 2.697, 51
0 1 7, 49.7, 1.836, 51
1 0 2, 16.2, 5.462, 43

Structure:
Unit cell a=11.2069 b=3.8981 c=15.0160 alpha=90.00 beta=104.08 gamma=90.00
Space group P2_1/m (No. 11)
Inequivalent atoms, fractional coordinates:
Sn1 0.1187 0.2500 0.2865 [2 per cell]
Sb1 0.1571 0.7500 0.5354 [2 per cell]
Sb2 0.1646 0.7500 0.9734 [2 per cell]
Sb3 0.4281 0.2500 0.8824 [2 per cell]
Sb4 0.4475 0.7500 0.3812 [2 per cell]
S1 0.0162 0.2500 0.6047 [2 per cell]
S2 0.0259 0.2500 0.8982 [2 per cell]
S3 0.2585 0.7500 0.8348 [2 per cell]
S4 0.2654 0.2500 0.4580 [2 per cell]
S5 0.2695 0.7500 0.2468 [2 per cell]
S6 0.3876 0.2500 0.0376 [2 per cell]
S7 0.4464 0.7500 0.6789 [2 per cell]

=====

Entry 3:
The following is a theoretical XRD peak list of SnSb2S5. It was derived from a structure optimized by DFT (GGA-PBE), using CuKα.
Intensities are scaled so that the largest is 100.

The 10 most intense peaks (15° ≤ 2θ ≤ 90°), in order of falling intensity:
(hkl), 2θ/deg, d/Å, Rel. int.
1 1 0, 17.9, 4.948, 100
0 2 3, 24.7, 3.605, 79
0 4 3, 33.2, 2.699, 62
1 5 3, 42.2, 2.140, 58
2 0 0, 33.9, 2.642, 52
1 3 0, 25.4, 3.513, 47
2 4 3, 48.2, 1.888, 40
2 2 3, 42.4, 2.131, 37
1 1 3, 27.9, 3.200, 32
1 3 4, 38.4, 2.344, 22

Structure:
Unit cell a=5.2842 b=14.1068 c=12.5848 alpha=90.00 beta=90.00 gamma=90.00
Space group Cmcm (No. 63)
Inequivalent atoms, fractional coordinates:
Sn1 0.0000 0.1752 0.2500 [4 per cell]
Sb1 0.0000 0.1533 0.5553 [8 per cell]
S1 0.0000 0.0511 0.1106 [8 per cell]
S2 0.0000 0.2762 0.7500 [4 per cell]
S3 0.0000 0.2963 0.0811 [8 per cell]

=====

Entry 4:
The following is a theoretical XRD peak list of SrSb2S4. It was derived from a structure optimized by DFT (GGA-PBE), using CuKα.
Intensities are scaled so that the largest is 100.

The 10 most intense peaks (15° ≤ 2θ ≤ 90°), in order of falling intensity:
(hkl), 2θ/deg, d/Å, Rel. int.
0 2 3, 24.0, 3.715, 100
1 3 1, 31.1, 2.879, 54
1 3 2, 33.2, 2.701, 53
2 0 0, 45.5, 1.994, 38
1 1 5, 40.9, 2.208, 35
0 6 3, 46.2, 1.966, 28
1 5 3, 46.1, 1.970, 25
1 3 0, 30.3, 2.946, 25
2 2 3, 52.0, 1.758, 24
1 1 1, 24.2, 3.674, 23

Structure:
Unit cell a=3.9900 b=13.1038 c=13.5326 alpha=90.00 beta=90.00 gamma=90.00
Space group Cmcm (No. 63)
Inequivalent atoms, fractional coordinates:
Sr1 0.0000 0.1115 0.2500 [4 per cell]
Sb1 0.0000 0.3667 0.0702 [8 per cell]
S1 0.0000 0.0000 0.0000 [4 per cell]
S2 0.0000 0.2694 0.6156 [8 per cell]
S3 0.0000 0.4480 0.2500 [4 per cell]